Structure and simulated powder diffractogram of NaGaBr (a DFT-relaxed cell (PBE, Alexandria); a wavelength of 1.5418 Å).
Lines closer than 0.1° are merged.

Principal peaks in the range 2θ = 10–90°, in order of falling intensity:
d 4.955, 2θ = 17.90°, I 100, hkl 0 0 2
d 2.711, 2θ = 33.04°, I 83, hkl 2 0 2
d 2.561, 2θ = 35.04°, I 50, hkl 0 4 2
d 3.238, 2θ = 27.54°, I 38, hkl 2 0 0
d 2.197, 2θ = 41.08°, I 34, hkl 2 4 0
d 2.009, 2θ = 45.14°, I 31, hkl 2 4 2
d 2.991, 2θ = 29.87°, I 27, hkl 0 4 0
d 2.478, 2θ = 36.26°, I 26, hkl 0 0 4
d 1.644, 2θ = 55.93°, I 21, hkl 2 4 4
d 2.189, 2θ = 41.24°, I 13, hkl 1 5 1

Crystal structure
abc: 6.4766 11.9643 9.9106
angles: 90.00 90.00 90.00
Space group Cmce (No. 64)
One atom of each set of equivalent atoms:
Na 0.2500 0.0365 0.2500 x8
Ga 0.0000 0.1131 0.5145 x8
Br 0.0000 0.1500 0.0277 x8